# 1
Diffraction record for NdYTmSc. The PXRD pattern is computed, not measured: it uses a DFT-relaxed cell (GGA-PBE, Alexandria) and Cu Kα (λ = 1.5418 Å).
Peak positions follow from Bragg's law for the DFT cell and can differ from measured ones.

Atomic structure:
```
data_NdYTmSc
_chemical_formula_sum 'Nd2 Y2 Tm2 Sc2'
_cell_length_a 3.8257
_cell_length_b 5.6036
_cell_length_c 11.4480
_cell_angle_alpha 90.00
_cell_angle_beta 90.00
_cell_angle_gamma 90.00
_space_group_name_H-M_alt 'I m m 2'
_space_group_IT_number 44
loop_
_space_group_symop_operation_xyz
'x,y,z'
'-x,-y,z'
'-x,y,z'
'x,-y,z'
'x+1/2,y+1/2,z+1/2'
'-x+1/2,-y+1/2,z+1/2'
'-x+1/2,y+1/2,z+1/2'
'x+1/2,-y+1/2,z+1/2'
loop_
_atom_site_label
_atom_site_type_symbol
_atom_site_fract_x
_atom_site_fract_y
_atom_site_fract_z
Nd1 Nd 0.0000 0.0000 0.0000
Y1 Y 0.0000 0.5000 0.2223
Tm1 Tm 0.0000 0.0000 0.4592
Sc1 Sc 0.0000 0.5000 0.7330
```

Main lines, sorted by position (10 to 90 degrees two-theta):
Position (°2θ)	I/Imax
15.48	20
28.27	21
31.25	24
31.94	27
32.37	100
57.21	25

# 2
Diffraction record for Nd7Y4Sc. The PXRD pattern is computed, not measured: it uses a DFT-relaxed cell (GGA-PBE, Alexandria) and Cu Kα (λ = 1.5418 Å).
Peak positions follow from Bragg's law for the DFT cell and can differ from measured ones.

Atomic structure:
```
data_Nd7Y4Sc
_chemical_formula_sum 'Nd7 Y4 Sc1'
_cell_length_a 6.2734
_cell_length_b 7.2888
_cell_length_c 8.9936
_cell_angle_alpha 90.04
_cell_angle_beta 103.41
_cell_angle_gamma 90.05
_space_group_name_H-M_alt 'P -1'
_space_group_IT_number 2
loop_
_space_group_symop_operation_xyz
'x,y,z'
'-x,-y,-z'
loop_
_atom_site_label
_atom_site_type_symbol
_atom_site_fract_x
_atom_site_fract_y
_atom_site_fract_z
Nd1 Nd 0.0000 0.0000 0.0000
Nd2 Nd 0.2190 0.5003 0.6674
Nd3 Nd 0.2267 0.0000 0.6643
Nd4 Nd 0.5002 0.2542 0.0000
Y1 Y 0.2753 0.2537 0.3300
Y2 Y 0.2753 0.7461 0.3298
Sc1 Sc 0.0000 0.5000 0.0000
```

Main lines, sorted by position (10 to 90 degrees two-theta):
Position (°2θ)	I/Imax
30.66	74
31.49	100
31.62	48
33.16	86
33.26	42
60.07	43

# 3
Diffraction record for NdY6Sc3. The PXRD pattern is computed, not measured: it uses a DFT-relaxed cell (GGA-PBE, Alexandria) and Cu Kα (λ = 1.5418 Å).
Peak positions follow from Bragg's law for the DFT cell and can differ from measured ones.

Atomic structure:
```
data_NdY6Sc3
_chemical_formula_sum 'Nd3 Y18 Sc9'
_cell_length_a 9.6780
_cell_length_b 9.6780
_cell_length_c 11.3477
_cell_angle_alpha 90.00
_cell_angle_beta 90.00
_cell_angle_gamma 120.00
_space_group_name_H-M_alt 'R 3'
_space_group_IT_number 146
_space_group_name_Hall 'R 3'
loop_
_atom_site_label
_atom_site_type_symbol
_atom_site_fract_x
_atom_site_fract_y
_atom_site_fract_z
Nd1 Nd 0.0000 0.0000 0.0000
Y1 Y 0.9996 0.3409 0.9991
Y2 Y 0.9998 0.6653 0.4991
Sc1 Sc 0.0000 0.0000 0.2605
Sc2 Sc 0.0000 0.0000 0.5004
Sc3 Sc 0.0000 0.0000 0.7408
```

Main lines, sorted by position (10 to 90 degrees two-theta):
Position (°2θ)	I/Imax
29.98	83
32.04	100
44.45	27
55.83	27
57.10	18
58.98	21

# 4
Diffraction record for Nd3Y6Sc2. The PXRD pattern is computed, not measured: it uses a DFT-relaxed cell (GGA-PBE, Alexandria) and Cu Kα (λ = 1.5418 Å).
Peak positions follow from Bragg's law for the DFT cell and can differ from measured ones.

Atomic structure:
```
data_Nd3Y6Sc2
_chemical_formula_sum 'Nd9 Y18 Sc6'
_cell_length_a 3.5600
_cell_length_b 3.5600
_cell_length_c 94.7074
_cell_angle_alpha 90.00
_cell_angle_beta 90.00
_cell_angle_gamma 120.00
_space_group_name_H-M_alt 'R -3 m'
_space_group_IT_number 166
_space_group_name_Hall '-R 3 2"'
loop_
_atom_site_label
_atom_site_type_symbol
_atom_site_fract_x
_atom_site_fract_y
_atom_site_fract_z
Nd1 Nd 0.0000 0.0000 0.0000
Nd2 Nd 0.0000 0.0000 0.2709
Y1 Y 0.0000 0.0000 0.0941
Y2 Y 0.0000 0.0000 0.1823
Y3 Y 0.0000 0.0000 0.3646
Sc1 Sc 0.0000 0.0000 0.4559
```

Main lines, sorted by position (10 to 90 degrees two-theta):
Position (°2θ)	I/Imax
30.81	100
31.16	29
35.83	63
51.33	24
51.80	18
61.28	24

# 5
Diffraction record for Nd2Y5Sc. The PXRD pattern is computed, not measured: it uses a DFT-relaxed cell (GGA-PBE, Alexandria) and Cu Kα (λ = 1.5418 Å).
Peak positions follow from Bragg's law for the DFT cell and can differ from measured ones.

Atomic structure:
```
data_Nd2Y5Sc
_chemical_formula_sum 'Nd8 Y20 Sc4'
_cell_length_a 5.5774
_cell_length_b 11.9483
_cell_length_c 15.6538
_cell_angle_alpha 90.00
_cell_angle_beta 90.00
_cell_angle_gamma 90.00
_space_group_name_H-M_alt 'C m c m'
_space_group_IT_number 63
_space_group_name_Hall '-C 2c 2'
loop_
_atom_site_label
_atom_site_type_symbol
_atom_site_fract_x
_atom_site_fract_y
_atom_site_fract_z
Nd1 Nd 0.0000 0.2178 0.1336
Y1 Y 0.0000 0.0808 0.5965
Y2 Y 0.0000 0.3806 0.5496
Y3 Y 0.0000 0.4636 0.2500
Sc1 Sc 0.0000 0.2688 0.7500
```

Main lines, sorted by position (10 to 90 degrees two-theta):
Position (°2θ)	I/Imax
28.11	26
28.85	48
30.47	24
32.09	74
32.52	100
33.68	53

# 6
Diffraction record for Nd7YSc4. The PXRD pattern is computed, not measured: it uses a DFT-relaxed cell (GGA-PBE, Alexandria) and Cu Kα (λ = 1.5418 Å).
Peak positions follow from Bragg's law for the DFT cell and can differ from measured ones.

Atomic structure:
```
data_Nd7YSc4
_chemical_formula_sum 'Nd7 Y1 Sc4'
_cell_length_a 6.1780
_cell_length_b 7.1292
_cell_length_c 8.7500
_cell_angle_alpha 89.96
_cell_angle_beta 76.40
_cell_angle_gamma 89.93
_space_group_name_H-M_alt 'P -1'
_space_group_IT_number 2
loop_
_space_group_symop_operation_xyz
'x,y,z'
'-x,-y,-z'
loop_
_atom_site_label
_atom_site_type_symbol
_atom_site_fract_x
_atom_site_fract_y
_atom_site_fract_z
Nd1 Nd 0.0000 0.0000 0.0000
Nd2 Nd 0.2245 0.5009 0.3364
Nd3 Nd 0.2887 0.2437 0.6593
Nd4 Nd 0.4970 0.7582 0.9894
Y1 Y 0.0000 0.5000 0.0000
Sc1 Sc 0.2125 0.9988 0.3415
Sc2 Sc 0.2707 0.7598 0.6630
```

Main lines, sorted by position (10 to 90 degrees two-theta):
Position (°2θ)	I/Imax
29.13	49
31.56	49
32.21	100
33.93	95
51.24	37
61.44	42

Copy entry 1 word for word.
Diffraction record for NdYTmSc. The PXRD pattern is computed, not measured: it uses a DFT-relaxed cell (GGA-PBE, Alexandria) and Cu Kα (λ = 1.5418 Å).
Peak positions follow from Bragg's law for the DFT cell and can differ from measured ones.

Atomic structure:
```
data_NdYTmSc
_chemical_formula_sum 'Nd2 Y2 Tm2 Sc2'
_cell_length_a 3.8257
_cell_length_b 5.6036
_cell_length_c 11.4480
_cell_angle_alpha 90.00
_cell_angle_beta 90.00
_cell_angle_gamma 90.00
_space_group_name_H-M_alt 'I m m 2'
_space_group_IT_number 44
loop_
_space_group_symop_operation_xyz
'x,y,z'
'-x,-y,z'
'-x,y,z'
'x,-y,z'
'x+1/2,y+1/2,z+1/2'
'-x+1/2,-y+1/2,z+1/2'
'-x+1/2,y+1/2,z+1/2'
'x+1/2,-y+1/2,z+1/2'
loop_
_atom_site_label
_atom_site_type_symbol
_atom_site_fract_x
_atom_site_fract_y
_atom_site_fract_z
Nd1 Nd 0.0000 0.0000 0.0000
Y1 Y 0.0000 0.5000 0.2223
Tm1 Tm 0.0000 0.0000 0.4592
Sc1 Sc 0.0000 0.5000 0.7330
```

Main lines, sorted by position (10 to 90 degrees two-theta):
Position (°2θ)	I/Imax
15.48	20
28.27	21
31.25	24
31.94	27
32.37	100
57.21	25